(1)
For Li7MgNi7O16, the PBE+U geometry in the Materials Project gives the simulated X-ray diffraction stick pattern in this record (Cu Kα, 1.54184 Å).
Neutral-atom scattering factors, no anomalous dispersion.

Crystal structure
a = 5.0209 Å, b = 5.7445 Å, c = 9.8346 Å
α = 105.89°, β = 100.89°, γ = 90.08°
Space group P-1 (No. 2)
Inequivalent atoms, fractional coordinates:
1 Li 0.0000 0.0000 0.0000 [1 per cell]
2 Li 0.2379 0.3788 0.2484 [2 per cell]
3 Li 0.2476 0.8655 0.2429 [2 per cell]
4 Li 0.4968 0.7477 0.5014 [2 per cell]
5 Mg 0.0000 0.0000 0.5000 [1 per cell]
6 Ni 0.0000 0.5000 0.5000 [1 per cell]
7 Ni 0.2535 0.3719 0.7509 [2 per cell]
8 Ni 0.2640 0.8668 0.7488 [2 per cell]
9 Ni 0.4931 0.2490 0.9996 [2 per cell]
10 O 0.0801 0.2014 0.3721 [2 per cell]
11 O 0.0868 0.6747 0.3727 [2 per cell]
12 O 0.1547 0.1513 0.8644 [2 per cell]
13 O 0.1656 0.6929 0.8666 [2 per cell]
14 O 0.3694 0.0556 0.6353 [2 per cell]
15 O 0.3732 0.5797 0.6348 [2 per cell]
16 O 0.4009 0.0803 0.1243 [2 per cell]
17 O 0.4159 0.5824 0.1248 [2 per cell]

Peak list (6 most intense, 2θ = 10–90°, by angle)
2θ 18.67, rel. 100; 2θ 36.49, rel. 14; 2θ 37.14, rel. 12; 2θ 37.27, rel. 12; 2θ 44.12, rel. 23; 2θ 44.93, rel. 43

(2)
For GdCrO3, the PBE+U geometry in the Materials Project gives the simulated X-ray diffraction stick pattern in this record (Cu Kα, 1.54184 Å).
Neutral-atom scattering factors, no anomalous dispersion.

Crystal structure
a = 5.6276 Å, b = 7.7248 Å, c = 5.3787 Å
α = 90.00°, β = 90.00°, γ = 90.00°
Space group Pnma (No. 62)
Inequivalent atoms, fractional coordinates:
1 Gd 0.0622 0.2500 0.0167 [4 per cell]
2 Cr 0.0000 0.0000 0.5000 [4 per cell]
3 O 0.0358 0.7500 0.3952 [4 per cell]
4 O 0.1998 0.5544 0.8035 [8 per cell]

Peak list (6 most intense, 2θ = 10–90°, by angle)
2θ 22.87, rel. 22; 2θ 25.65, rel. 19; 2θ 31.80, rel. 19; 2θ 32.68, rel. 100; 2θ 33.32, rel. 24; 2θ 59.13, rel. 22

(3)
For KLaCeNiO6, the PBE+U geometry in the Materials Project gives the simulated X-ray diffraction stick pattern in this record (Cu Kα, 1.54184 Å).
Neutral-atom scattering factors, no anomalous dispersion.

Crystal structure
a = 8.1073 Å, b = 8.1073 Å, c = 8.1073 Å
α = 90.00°, β = 90.00°, γ = 90.00°
Space group F-43m (No. 216)
Inequivalent atoms, fractional coordinates:
1 K 0.0000 0.0000 0.0000 [4 per cell]
2 La 0.0000 0.0000 0.5000 [4 per cell]
3 Ce 0.2500 0.2500 0.2500 [4 per cell]
4 Ni 0.2500 0.2500 0.7500 [4 per cell]
5 O 0.0186 0.2500 0.7500 [24 per cell]

Peak list (6 most intense, 2θ = 10–90°, by angle)
2θ 18.96, rel. 23; 2θ 31.20, rel. 100; 2θ 44.71, rel. 33; 2θ 55.53, rel. 38; 2θ 65.08, rel. 19; 2θ 73.94, rel. 17

(4)
For Fe2CO5, the PBE+U geometry in the Materials Project gives the simulated X-ray diffraction stick pattern in this record (Cu Kα, 1.54184 Å).
Neutral-atom scattering factors, no anomalous dispersion.

Crystal structure
a = 3.0119 Å, b = 8.9026 Å, c = 12.0181 Å
α = 90.00°, β = 95.25°, γ = 90.00°
Space group P2_1/c (No. 14)
Inequivalent atoms, fractional coordinates:
1 Fe 0.0185 0.0002 0.2839 [4 per cell]
2 Fe 0.4527 0.2398 0.1139 [4 per cell]
3 C 0.4896 0.2317 0.8629 [4 per cell]
4 O 0.0266 0.6081 0.3471 [4 per cell]
5 O 0.0606 0.6256 0.9095 [4 per cell]
6 O 0.4171 0.1683 0.9508 [4 per cell]
7 O 0.4551 0.6223 0.1485 [4 per cell]
8 O 0.4938 0.1502 0.7678 [4 per cell]

Peak list (6 most intense, 2θ = 10–90°, by angle)
2θ 14.80, rel. 49; 2θ 17.86, rel. 41; 2θ 24.93, rel. 39; 2θ 36.13, rel. 100; 2θ 44.64, rel. 18; 2θ 61.85, rel. 14

(5)
For Li9Mn7O16, the PBE+U geometry in the Materials Project gives the simulated X-ray diffraction stick pattern in this record (Cu Kα, 1.54184 Å).
Neutral-atom scattering factors, no anomalous dispersion.

Crystal structure
a = 6.0612 Å, b = 6.5038 Å, c = 8.0149 Å
α = 85.49°, β = 74.85°, γ = 76.68°
Space group P-1 (No. 2)
Inequivalent atoms, fractional coordinates:
1 Li 0.0000 0.0000 0.0000 [1 per cell]
2 Li 0.0595 0.1250 0.6257 [2 per cell]
3 Li 0.1823 0.3692 0.8782 [2 per cell]
4 Li 0.3061 0.6309 0.1254 [2 per cell]
5 Li 0.4349 0.8775 0.3691 [2 per cell]
6 Mn 0.1180 0.2492 0.2433 [2 per cell]
7 Mn 0.2500 0.5002 0.5004 [2 per cell]
8 Mn 0.3743 0.7518 0.7552 [2 per cell]
9 Mn 0.5000 0.0000 0.0000 [1 per cell]
10 O 0.0199 0.5469 0.3134 [2 per cell]
11 O 0.1021 0.6932 0.9187 [2 per cell]
12 O 0.1446 0.8007 0.5657 [2 per cell]
13 O 0.2290 0.9555 0.1828 [2 per cell]
14 O 0.3105 0.0415 0.8294 [2 per cell]
15 O 0.3439 0.2048 0.4274 [2 per cell]
16 O 0.3935 0.2955 0.0607 [2 per cell]
17 O 0.4840 0.4527 0.6822 [2 per cell]

Peak list (6 most intense, 2θ = 10–90°, by angle)
2θ 18.29, rel. 100; 2θ 33.95, rel. 19; 2θ 36.17, rel. 12; 2θ 40.86, rel. 35; 2θ 44.13, rel. 28; 2θ 44.29, rel. 27

(6)
For Ti4Fe6O15, the PBE+U geometry in the Materials Project gives the simulated X-ray diffraction stick pattern in this record (Cu Kα, 1.54184 Å).
Neutral-atom scattering factors, no anomalous dispersion.

Crystal structure
a = 7.6473 Å, b = 8.9154 Å, c = 9.1616 Å
α = 80.68°, β = 71.48°, γ = 66.51°
Space group P-1 (No. 2)
Inequivalent atoms, fractional coordinates:
1 Ti 0.0369 0.1608 0.4781 [2 per cell]
2 Ti 0.2404 0.5565 0.6742 [2 per cell]
3 Ti 0.3569 0.6446 0.9250 [2 per cell]
4 Ti 0.4318 0.9607 0.8728 [2 per cell]
5 Fe 0.0617 0.0407 0.1272 [2 per cell]
6 Fe 0.1390 0.3571 0.0742 [2 per cell]
7 Fe 0.1661 0.2390 0.7236 [2 per cell]
8 Fe 0.2571 0.4450 0.3227 [2 per cell]
9 Fe 0.3374 0.7559 0.2760 [2 per cell]
10 Fe 0.4633 0.8401 0.5232 [2 per cell]
11 O 0.0636 0.3268 0.3180 [2 per cell]
12 O 0.0764 0.6850 0.3446 [2 per cell]
13 O 0.0836 0.9897 0.3512 [2 per cell]
14 O 0.1066 0.4190 0.8615 [2 per cell]
15 O 0.1222 0.7095 0.8676 [2 per cell]
16 O 0.1431 0.0615 0.8784 [2 per cell]
17 O 0.2660 0.7262 0.5300 [2 per cell]
18 O 0.2751 0.0860 0.5327 [2 per cell]
19 O 0.2898 0.3879 0.5521 [2 per cell]
20 O 0.3126 0.8082 0.0516 [2 per cell]
21 O 0.3273 0.1225 0.0591 [2 per cell]
22 O 0.3304 0.4675 0.0662 [2 per cell]
23 O 0.4692 0.1248 0.7296 [2 per cell]
24 O 0.4714 0.4902 0.7385 [2 per cell]
25 O 0.4905 0.7818 0.7532 [2 per cell]

Peak list (6 most intense, 2θ = 10–90°, by angle)
2θ 32.13, rel. 100; 2θ 32.30, rel. 97; 2θ 32.40, rel. 95; 2θ 34.75, rel. 73; 2θ 34.78, rel. 70; 2θ 34.93, rel. 69